(1)
Theoretical XRD peak list
Compound: ThCo2Ni3
Radiation: λ = 1.5418 Å (Cu Kα)
Structure: the GGA-PBE geometry in the Materials Project

Structural model:
abc: 4.8296 8.7319 4.0214
angles: 90.00 90.00 90.00
Atoms (fractional coordinates):
Th1 0.0000 0.0000 0.0000
Th2 0.5000 0.5000 0.0000
Co1 0.2500 0.2500 0.5000
Co2 0.2500 0.7500 0.5000
Co3 0.7500 0.2500 0.5000
Co4 0.7500 0.7500 0.5000
Ni1 0.0000 0.3318 0.0000
Ni2 0.0000 0.5000 0.5000
Ni3 0.0000 0.6682 0.0000
Ni4 0.5000 0.0000 0.5000
Ni5 0.5000 0.1682 0.0000
Ni6 0.5000 0.8318 0.0000

Principal peaks in the range 2θ from 10° to 90°, by angle:
2θ = 30.7°, I 70
2θ = 36.0°, I 38
2θ = 42.7°, I 100
2θ = 42.8°, I 34
2θ = 43.7°, I 45
2θ = 45.1°, I 36

***

(2)
Theoretical XRD peak list
Compound: SrNi2Sb2
Radiation: λ = 1.5418 Å (Cu Kα)
Structure: the GGA-PBE geometry in the Materials Project

Structural model:
abc: 4.4669 4.4669 10.9004
angles: 90.00 90.00 90.00
Atoms (fractional coordinates):
Sr1 0.0000 0.0000 0.0000
Sr2 0.5000 0.5000 0.5000
Ni1 0.0000 0.5000 0.2500
Ni2 0.0000 0.5000 0.7500
Ni3 0.5000 0.0000 0.2500
Ni4 0.5000 0.0000 0.7500
Sb1 0.0000 0.0000 0.3596
Sb2 0.0000 0.0000 0.6404
Sb3 0.5000 0.5000 0.1404
Sb4 0.5000 0.5000 0.8596

Principal peaks in the range 2θ from 10° to 90°, by angle:
2θ = 28.3°, I 30
2θ = 31.7°, I 100
2θ = 32.8°, I 30
2θ = 40.4°, I 60
2θ = 43.9°, I 35
2θ = 52.3°, I 48

***

(3)
Theoretical XRD peak list
Compound: Ce4Ni
Radiation: λ = 1.5418 Å (Cu Kα)
Structure: the GGA-PBE geometry in the Materials Project

Structural model:
abc: 7.2408 7.2408 7.2408
angles: 60.00 60.00 60.00
Atoms (fractional coordinates):
Ce1 0.1988 0.7671 0.7671
Ce2 0.2329 0.2329 0.2329
Ce3 0.2329 0.2329 0.8012
Ce4 0.2329 0.8012 0.2329
Ce5 0.7671 0.1988 0.7671
Ce6 0.7671 0.7671 0.1988
Ce7 0.7671 0.7671 0.7671
Ce8 0.8012 0.2329 0.2329
Ni1 0.3750 0.3750 0.3750
Ni2 0.6250 0.6250 0.6250

Principal peaks in the range 2θ from 10° to 90°, by angle:
2θ = 30.2°, I 100
2θ = 35.1°, I 36
2θ = 38.3°, I 20
2θ = 46.1°, I 24
2θ = 50.4°, I 37
2θ = 59.9°, I 29

***

(4)
Theoretical XRD peak list
Compound: BaEr2Se4
Radiation: λ = 1.5418 Å (Cu Kα)
Structure: the GGA-PBE geometry in the Materials Project

Structural model:
abc: 12.8222 4.1964 15.1187
angles: 90.00 90.00 90.00
Atoms (fractional coordinates):
Ba1 0.2425 0.2500 0.1630
Ba2 0.2575 0.7500 0.6630
Ba3 0.7425 0.2500 0.3370
Ba4 0.7575 0.7500 0.8370
Er1 0.0654 0.2500 0.3904
Er2 0.0789 0.2500 0.9001
Er3 0.4211 0.7500 0.4001
Er4 0.4346 0.7500 0.8904
Er5 0.5654 0.2500 0.1096
Er6 0.5789 0.2500 0.5999
Er7 0.9211 0.7500 0.0999
Er8 0.9346 0.7500 0.6096
Se1 0.0238 0.7500 0.7836
Se2 0.0823 0.2500 0.5766
Se3 0.1253 0.7500 0.0242
Se4 0.2071 0.7500 0.3374
Se5 0.2929 0.2500 0.8374
Se6 0.3747 0.2500 0.5242
Se7 0.4177 0.7500 0.0766
Se8 0.4762 0.2500 0.2836
Se9 0.5238 0.7500 0.7164
Se10 0.5823 0.2500 0.9234
Se11 0.6253 0.7500 0.4758
Se12 0.7071 0.7500 0.1626
Se13 0.7929 0.2500 0.6626
Se14 0.8747 0.2500 0.9758
Se15 0.9177 0.7500 0.4234
Se16 0.9762 0.2500 0.2164

Principal peaks in the range 2θ from 10° to 90°, by angle:
2θ = 23.9°, I 97
2θ = 25.2°, I 64
2θ = 28.5°, I 97
2θ = 34.9°, I 98
2θ = 42.8°, I 57
2θ = 43.1°, I 100

***

(5)
Theoretical XRD peak list
Compound: LiReO4
Radiation: λ = 1.5418 Å (Cu Kα)
Structure: the GGA-PBE geometry in the Materials Project

Structural model:
abc: 7.0490 8.6197 9.8772
angles: 97.33 106.38 101.58
Atoms (fractional coordinates):
Li1 0.0325 0.1137 0.2838
Li2 0.2512 0.6963 0.9115
Li3 0.4619 0.3063 0.5103
Li4 0.5381 0.6937 0.4897
Li5 0.7488 0.3037 0.0885
Li6 0.9675 0.8863 0.7162
Re1 0.0205 0.2932 0.6229
Re2 0.2966 0.4028 0.1593
Re3 0.4930 0.0042 0.2443
Re4 0.5070 0.9958 0.7557
Re5 0.7034 0.5972 0.8407
Re6 0.9795 0.7068 0.3771
O1 0.0168 0.1264 0.7079
O2 0.0603 0.2747 0.1470
O3 0.1338 0.2690 0.4857
O4 0.1534 0.4708 0.7492
O5 0.2306 0.6963 0.4556
O6 0.2484 0.5626 0.0749
O7 0.2744 0.8789 0.7612
O8 0.3407 0.9046 0.0717
O9 0.3597 0.1271 0.3187
O10 0.4332 0.2984 0.0738
O11 0.4415 0.4786 0.3415
O12 0.4552 0.1391 0.6503
O13 0.5448 0.8609 0.3497
O14 0.5585 0.5214 0.6585
O15 0.5668 0.7016 0.9262
O16 0.6403 0.8729 0.6813
O17 0.6593 0.0954 0.9283
O18 0.7256 0.1211 0.2388
O19 0.7516 0.4374 0.9251
O20 0.7694 0.3037 0.5444
O21 0.8466 0.5292 0.2508
O22 0.8662 0.7310 0.5143
O23 0.9397 0.7253 0.8530
O24 0.9832 0.8736 0.2921

Principal peaks in the range 2θ from 10° to 90°, by angle:
2θ = 18.9°, I 49
2θ = 19.6°, I 65
2θ = 22.4°, I 100
2θ = 23.7°, I 60
2θ = 25.9°, I 97
2θ = 26.1°, I 60

***

(6)
Theoretical XRD peak list
Compound: LiB
Radiation: λ = 1.5418 Å (Cu Kα)
Structure: the GGA-PBE geometry in the Materials Project

Structural model:
abc: 3.0844 13.5431 7.3040
angles: 90.00 90.00 90.00
Atoms (fractional coordinates):
Li1 0.2500 0.0000 0.2112
Li2 0.2500 0.5000 0.7185
Li3 0.7500 0.0000 0.7888
Li4 0.7500 0.5000 0.2815
B1 0.0000 0.0000 0.5000
B2 0.2500 0.5000 0.0146
B3 0.5000 0.0000 0.5000
B4 0.7500 0.5000 0.9854

Principal peaks in the range 2θ from 10° to 90°, by angle:
2θ = 13.1°, I 100
2θ = 13.8°, I 56
2θ = 23.2°, I 13
2θ = 26.3°, I 14
2θ = 37.5°, I 6
2θ = 42.2°, I 4

***

(7)
Theoretical XRD peak list
Compound: SmU2Se5
Radiation: λ = 1.5418 Å (Cu Kα)
Structure: the GGA-PBE geometry in the Materials Project

Structural model:
abc: 12.3191 7.7746 8.3027
angles: 90.00 90.00 90.00
Atoms (fractional coordinates):
Sm1 0.1796 0.0254 0.0000
Sm2 0.3204 0.5254 0.5000
Sm3 0.6796 0.4746 0.0000
Sm4 0.8204 0.9746 0.5000
U1 0.0072 0.5763 0.7461
U2 0.1795 0.0235 0.4978
U3 0.3205 0.5235 0.9978
U4 0.4928 0.0763 0.2461
U5 0.5072 0.9237 0.7461
U6 0.6795 0.4765 0.4978
U7 0.8205 0.9765 0.9978
U8 0.9928 0.4237 0.2461
Se1 0.9999 0.0390 0.2490
Se2 0.0001 0.9610 0.7490
Se3 0.0962 0.6705 0.4507
Se4 0.0989 0.6643 0.0411
Se5 0.1862 0.3304 0.7478
Se6 0.2173 0.3035 0.2483
Se7 0.2827 0.8035 0.7483
Se8 0.3138 0.8304 0.2478
Se9 0.4011 0.1643 0.5411
Se10 0.4038 0.1705 0.9507
Se11 0.4999 0.4610 0.2490
Se12 0.5001 0.5390 0.7490
Se13 0.5962 0.8295 0.4507
Se14 0.5989 0.8357 0.0411
Se15 0.6862 0.1696 0.7478
Se16 0.7173 0.1965 0.2483
Se17 0.7827 0.6965 0.7483
Se18 0.8138 0.6696 0.2478
Se19 0.9011 0.3357 0.5411
Se20 0.9038 0.3295 0.9507

Principal peaks in the range 2θ from 10° to 90°, by angle:
2θ = 24.5°, I 70
2θ = 25.4°, I 47
2θ = 25.9°, I 50
2θ = 34.8°, I 100
2θ = 36.3°, I 53
2θ = 44.3°, I 52

***

(8)
Theoretical XRD peak list
Compound: TaMn2
Radiation: λ = 1.5418 Å (Cu Kα)
Structure: the GGA-PBE geometry in the Materials Project

Structural model:
abc: 4.8077 4.8077 7.9099
angles: 90.00 90.00 120.00
Atoms (fractional coordinates):
Ta1 0.3333 0.6667 0.0634
Ta2 0.3333 0.6667 0.4366
Ta3 0.6667 0.3333 0.5634
Ta4 0.6667 0.3333 0.9366
Mn1 0.0000 0.0000 0.0000
Mn2 0.0000 0.0000 0.5000
Mn3 0.1719 0.3437 0.7500
Mn4 0.1719 0.8281 0.7500
Mn5 0.3437 0.1719 0.2500
Mn6 0.6563 0.8281 0.7500
Mn7 0.8281 0.1719 0.2500
Mn8 0.8281 0.6563 0.2500

Principal peaks in the range 2θ from 10° to 90°, by angle:
2θ = 37.4°, I 69
2θ = 40.5°, I 100
2θ = 44.1°, I 88
2θ = 45.0°, I 44
2θ = 69.6°, I 38
2θ = 75.5°, I 24

***

(9)
Theoretical XRD peak list
Compound: Be2PdRh
Radiation: λ = 1.5418 Å (Cu Kα)
Structure: the GGA-PBE geometry in the Materials Project

Structural model:
abc: 5.6123 5.6123 5.6123
angles: 90.00 90.00 90.00
Atoms (fractional coordinates):
Be1 0.2500 0.2500 0.2500
Be2 0.2500 0.2500 0.7500
Be3 0.2500 0.7500 0.2500
Be4 0.2500 0.7500 0.7500
Be5 0.7500 0.2500 0.2500
Be6 0.7500 0.2500 0.7500
Be7 0.7500 0.7500 0.2500
Be8 0.7500 0.7500 0.7500
Pd1 0.0000 0.0000 0.0000
Pd2 0.0000 0.5000 0.5000
Pd3 0.5000 0.0000 0.5000
Pd4 0.5000 0.5000 0.0000
Rh1 0.0000 0.0000 0.5000
Rh2 0.0000 0.5000 0.0000
Rh3 0.5000 0.0000 0.0000
Rh4 0.5000 0.5000 0.5000

Principal peaks in the range 2θ from 10° to 90°, by angle:
2θ = 31.9°, I 100
2θ = 45.7°, I 91
2θ = 56.8°, I 25
2θ = 66.7°, I 14
2θ = 75.8°, I 31
2θ = 84.6°, I 30